The following is a simulated powder diffraction line list of LiMnP2H2O8. It was derived from a cell relaxed with GGA+U, using a wavelength of 1.5418 Å.
Lines closer than 0.1° are merged.

Structure:
```
28
Lattice="7.0113 0.0000 0.0000 0.0000 8.0003 0.0000 0.0000 0.0000 5.2848" Properties=species:S:1:pos:R:3 pbc="T T T"
Li 0.0000 0.0000 0.4055
Li 3.5056 4.0002 4.8794
Mn 0.0000 4.0002 4.0530
Mn 3.5056 0.0000 1.2318
P 1.5106 5.1807 1.4264
P 1.9950 1.1805 3.8584
P 5.0163 6.8198 3.8584
P 5.5007 2.8197 1.4264
H 0.0370 1.6628 2.3938
H 3.4687 5.6630 2.8910
H 3.5426 2.3374 2.8910
H 6.9743 6.3375 2.3938
O 0.3728 6.2889 1.4439
O 0.5830 1.7968 3.8335
O 1.3461 4.3137 2.6868
O 1.3995 4.3687 0.1115
O 2.1062 0.3686 5.1734
O 2.1595 0.3135 2.5980
O 2.9227 5.7969 1.4513
O 3.1329 2.2888 3.8409
O 3.8784 5.7116 3.8409
O 4.0886 2.2034 1.4513
O 4.8518 7.6868 2.5980
O 4.9051 7.6318 5.1734
O 5.6118 3.6316 0.1115
O 5.6652 3.6866 2.6868
O 6.4283 6.2036 3.8335
O 6.6385 1.7114 1.4439
```

Peak list (10 most intense, 10° ≤ 2θ ≤ 90°, in order of rising 2θ)
2theta, I (rel.)
16.8, 91
23.8, 100
25.6, 59
30.8, 28
32.6, 66
33.9, 18
36.0, 21
37.8, 26
63.6, 17
64.2, 17